# VGa2
Simulated powder XRD pattern, Cu Kα (weighted mean of Kα1 and Kα2). Input: a cell relaxed with GGA-PBE.
No peak broadening, texture or thermal motion is included.

Most intense lines, 2θ = 10–90°, low angle first:
| 2θ/deg | d (Å) | intensity |
| --- | --- | --- |
| 38.61 | 2.332 | 29 |
| 40.56 | 2.224 | 100 |
| 45.60 | 1.989 | 18 |
| 56.09 | 1.640 | 9 |
| 61.24 | 1.513 | 14 |
| 70.16 | 1.341 | 9 |
| 71.18 | 1.325 | 17 |
| 75.07 | 1.265 | 8 |
| 80.85 | 1.189 | 12 |
| 87.76 | 1.112 | 10 |

Structure:
a = 3.9788 Å, b = 4.6636 Å, c = 9.8386 Å
α = 90.00°, β = 90.00°, γ = 90.00°
Fractional positions:
V: 0.0000 0.0000 0.0000
V: 0.0000 0.5000 0.5000
V: 0.5000 0.0000 0.5000
V: 0.5000 0.5000 0.0000
Ga: 0.0000 0.0000 0.3380
Ga: 0.0000 0.0000 0.6620
Ga: 0.0000 0.5000 0.1620
Ga: 0.0000 0.5000 0.8380
Ga: 0.5000 0.0000 0.1620
Ga: 0.5000 0.0000 0.8380
Ga: 0.5000 0.5000 0.3380
Ga: 0.5000 0.5000 0.6620